Entry 1:
Calculated powder X-ray diffraction pattern of Tl4SnI6 for λ = 1.5418 Å (Cu Kα), from a structure optimized by DFT (PBE).
Peak positions follow from Bragg's law for the DFT cell and can differ from measured ones.

Atomic structure:
abc: 10.0142 19.6253 4.6195
angles: 90.00 90.00 90.00
Sites, in units of the cell vectors:
Tl1 0.1053 0.0806 0.0000
Tl2 0.2234 0.7980 0.0000
Tl3 0.2766 0.2980 0.0000
Tl4 0.3947 0.5806 0.0000
Tl5 0.6053 0.4194 0.0000
Tl6 0.7234 0.7020 0.0000
Tl7 0.7766 0.2020 0.0000
Tl8 0.8947 0.9194 0.0000
Sn1 0.0000 0.5000 0.5000
Sn2 0.5000 0.0000 0.5000
I1 0.0589 0.6110 0.0000
I2 0.0833 0.2125 0.5000
I3 0.1987 0.9476 0.5000
I4 0.3013 0.4476 0.5000
I5 0.4167 0.7125 0.5000
I6 0.4411 0.1110 0.0000
I7 0.5589 0.8890 0.0000
I8 0.5833 0.2875 0.5000
I9 0.6987 0.5524 0.5000
I10 0.8013 0.0524 0.5000
I11 0.9167 0.7875 0.5000
I12 0.9411 0.3890 0.0000

Main lines, by angle (2θ = 10–90°):
2θ 26.5, I 23
2θ 27.1, I 22
2θ 27.8, I 33
2θ 28.0, I 100
2θ 28.2, I 47
2θ 29.6, I 36
2θ 32.1, I 19
2θ 33.2, I 21
2θ 34.4, I 18
2θ 39.0, I 32
2θ 42.1, I 22
2θ 48.8, I 24

Entry 2:
Calculated powder X-ray diffraction pattern of Tl5Sn3I12 for λ = 1.5418 Å (Cu Kα), from a structure optimized by DFT (PBE).
Peak positions follow from Bragg's law for the DFT cell and can differ from measured ones.

Atomic structure:
abc: 14.5411 14.5411 4.6904
angles: 90.00 90.00 120.00
Sites, in units of the cell vectors:
Tl1 0.0000 0.2877 0.0000
Tl2 0.2877 0.0000 0.0000
Tl3 0.3333 0.6667 0.0000
Tl4 0.6667 0.3333 0.0000
Tl5 0.7123 0.7123 0.0000
Sn1 0.0000 0.6749 0.5000
Sn2 0.3251 0.3251 0.5000
Sn3 0.6749 0.0000 0.5000
I1 0.0000 0.5299 0.0000
I2 0.0000 0.8245 0.0000
I3 0.1755 0.1755 0.0000
I4 0.1999 0.4498 0.5000
I5 0.2499 0.8001 0.5000
I6 0.4498 0.1999 0.5000
I7 0.4701 0.4701 0.0000
I8 0.5299 0.0000 0.0000
I9 0.5502 0.7501 0.5000
I10 0.7501 0.5502 0.5000
I11 0.8001 0.2499 0.5000
I12 0.8245 0.0000 0.0000

Main lines, by angle (2θ = 10–90°):
2θ 21.2, I 20
2θ 22.6, I 20
2θ 25.5, I 40
2θ 26.7, I 100
2θ 28.3, I 25
2θ 28.5, I 18
2θ 31.0, I 22
2θ 31.1, I 63
2θ 36.5, I 24
2θ 37.1, I 20
2θ 37.9, I 29
2θ 38.4, I 28

Entry 3:
Calculated powder X-ray diffraction pattern of Tl2Sn2I7 for λ = 1.5418 Å (Cu Kα), from a structure optimized by DFT (PBE).
Peak positions follow from Bragg's law for the DFT cell and can differ from measured ones.

Atomic structure:
abc: 8.7832 8.7832 7.6099
angles: 95.92 95.92 88.72
Sites, in units of the cell vectors:
Tl1 0.2278 0.7722 0.0000
Tl2 0.7722 0.2278 0.0000
Sn1 0.2620 0.2620 0.5390
Sn2 0.7380 0.7380 0.4610
I1 0.0514 0.4130 0.7722
I2 0.0777 0.0777 0.2452
I3 0.4130 0.0514 0.7722
I4 0.5000 0.5000 0.5000
I5 0.5870 0.9486 0.2278
I6 0.9223 0.9223 0.7548
I7 0.9486 0.5870 0.2278

Main lines, by angle (2θ = 10–90°):
2θ 16.3, I 29
2θ 17.1, I 29
2θ 18.6, I 100
2θ 24.1, I 35
2θ 24.6, I 23
2θ 26.3, I 22
2θ 28.7, I 36
2θ 29.7, I 43
2θ 33.0, I 55
2θ 33.9, I 38
2θ 35.9, I 23
2θ 39.6, I 27

Entry 4:
Calculated powder X-ray diffraction pattern of Sr3I for λ = 1.5418 Å (Cu Kα), from a structure optimized by DFT (PBE).
Peak positions follow from Bragg's law for the DFT cell and can differ from measured ones.

Atomic structure:
abc: 4.1061 4.1356 11.7430
angles: 90.00 90.00 90.00
Sites, in units of the cell vectors:
Sr1 0.0000 0.0000 0.0000
Sr2 0.0000 0.5000 0.4326
Sr3 0.5000 0.5000 0.7368
I1 0.5000 0.0000 0.2517

Main lines, by angle (2θ = 10–90°):
2θ 22.8, I 72
2θ 26.5, I 100
2θ 30.4, I 24
2θ 31.5, I 46
2θ 31.6, I 91
2θ 37.6, I 16
2θ 38.5, I 18
2θ 43.8, I 17
2θ 49.9, I 21
2θ 50.2, I 17
2θ 51.9, I 31
2θ 55.2, I 18